# 1
Calculated powder XRD pattern
Compound: Ba2NpBr8
Radiation: Cu Kα
Structure: a crystal structure in Alexandria, relaxed with GGA-PBE
Peak positions follow from Bragg's law for the DFT cell and can differ from measured ones.

Principal peaks in the range 2θ = 15–90°, most intense first:
| two_theta | Rel. int. |
| --- | --- |
| 33.38 | 100 |
| 17.73 | 43 |
| 35.37 | 26 |
| 21.55 | 21 |
| 27.35 | 20 |
| 49.85 | 15 |

Atomic structure:
```
data_Ba2NpBr8
_chemical_formula_sum 'Ba4 Np2 Br16'
_cell_length_a 5.0755
_cell_length_b 7.0614
_cell_length_c 21.2749
_cell_angle_alpha 90.00
_cell_angle_beta 90.00
_cell_angle_gamma 90.00
_space_group_name_H-M_alt 'I m m m'
_space_group_IT_number 71
_space_group_name_Hall '-I 2 2'
loop_
_atom_site_label
_atom_site_fract_x
_atom_site_fract_y
_atom_site_fract_z
Ba1 0.0000 0.0000 0.1701
Np1 0.0000 0.0000 0.5000
Br1 0.0000 0.2429 0.3913
Br2 0.0000 0.2680 0.0000
Br3 0.0000 0.5000 0.2316
```



# 2
Calculated powder XRD pattern
Compound: Ba4Br5O
Radiation: Cu Kα
Structure: a crystal structure in Alexandria, relaxed with GGA-PBE
Peak positions follow from Bragg's law for the DFT cell and can differ from measured ones.

Principal peaks in the range 2θ = 15–90°, most intense first:
| two_theta | Rel. int. |
| --- | --- |
| 28.45 | 100 |
| 28.09 | 55 |
| 41.53 | 36 |
| 39.25 | 34 |
| 39.40 | 24 |
| 49.09 | 23 |

Atomic structure:
```
data_Ba4Br5O
_chemical_formula_sum 'Ba8 Br10 O2'
_cell_length_a 19.9096
_cell_length_b 4.5733
_cell_length_c 8.6485
_cell_angle_alpha 90.00
_cell_angle_beta 106.77
_cell_angle_gamma 90.00
_space_group_name_H-M_alt 'C 1 2/m 1'
_space_group_IT_number 12
loop_
_space_group_symop_operation_xyz
'x,y,z'
'-x,-y,-z'
'-x,y,-z'
'x,-y,z'
'x+1/2,y+1/2,z'
'-x+1/2,-y+1/2,-z'
'-x+1/2,y+1/2,-z'
'x+1/2,-y+1/2,z'
loop_
_atom_site_label
_atom_site_fract_x
_atom_site_fract_y
_atom_site_fract_z
Ba1 0.0016 0.0000 0.2824
Ba2 0.1533 0.5000 0.6098
Br1 0.0000 0.5000 0.0000
Br2 0.1645 0.0000 0.8734
Br3 0.1712 0.0000 0.3525
O1 0.0000 0.5000 0.5000
```



# 3
Calculated powder XRD pattern
Compound: Ba2BrO5
Radiation: Cu Kα
Structure: a crystal structure in Alexandria, relaxed with GGA-PBE
Peak positions follow from Bragg's law for the DFT cell and can differ from measured ones.

Principal peaks in the range 2θ = 15–90°, most intense first:
| two_theta | Rel. int. |
| --- | --- |
| 31.11 | 100 |
| 29.15 | 48 |
| 52.93 | 42 |
| 37.55 | 36 |
| 18.52 | 35 |
| 41.70 | 35 |

Atomic structure:
```
data_Ba2BrO5
_chemical_formula_sum 'Ba4 Br2 O10'
_cell_length_a 6.1268
_cell_length_b 6.1268
_cell_length_c 7.6842
_cell_angle_alpha 90.00
_cell_angle_beta 90.00
_cell_angle_gamma 90.00
_space_group_name_H-M_alt 'I 4 m m'
_space_group_IT_number 107
_space_group_name_Hall 'I 4 -2'
loop_
_atom_site_label
_atom_site_fract_x
_atom_site_fract_y
_atom_site_fract_z
Ba1 0.0000 0.5000 0.0000
Br1 0.0000 0.0000 0.2405
O1 0.0000 0.0000 0.0172
O2 0.2164 0.2164 0.2665
```



# 4
Calculated powder XRD pattern
Compound: Ba4Br6O
Radiation: Cu Kα
Structure: a crystal structure in Alexandria, relaxed with GGA-PBE
Peak positions follow from Bragg's law for the DFT cell and can differ from measured ones.

Principal peaks in the range 2θ = 15–90°, most intense first:
| two_theta | Rel. int. |
| --- | --- |
| 28.05 | 100 |
| 30.35 | 66 |
| 37.35 | 43 |
| 32.06 | 33 |
| 31.43 | 33 |
| 33.85 | 30 |

Atomic structure:
```
data_Ba4Br6O
_chemical_formula_sum 'Ba16 Br24 O4'
_cell_length_a 6.3638
_cell_length_b 12.1871
_cell_length_c 23.0756
_cell_angle_alpha 90.00
_cell_angle_beta 90.00
_cell_angle_gamma 90.00
_space_group_name_H-M_alt 'P 21 21 21'
_space_group_IT_number 19
loop_
_space_group_symop_operation_xyz
'x,y,z'
'-x+1/2,-y,z+1/2'
'x+1/2,-y+1/2,-z'
'-x,y+1/2,-z+1/2'
loop_
_atom_site_label
_atom_site_fract_x
_atom_site_fract_y
_atom_site_fract_z
Ba1 0.0143 0.2203 0.2062
Ba2 0.0200 0.3628 0.4301
Ba3 0.0306 0.4090 0.0499
Ba4 0.0986 0.5157 0.6905
Br1 0.0038 0.4478 0.2954
Br2 0.0074 0.1406 0.3530
Br3 0.0135 0.1528 0.5328
Br4 0.0174 0.2663 0.7558
Br5 0.0333 0.9944 0.9456
Br6 0.1795 0.6540 0.4278
O1 0.1450 0.3670 0.1460
```